For TiOF2, a DFT-relaxed cell (PBE, Alexandria) gives the theoretical powder diffraction line list in this record (Cu Kα X-rays).

```
data_TiOF2
_chemical_formula_sum 'Ti2 O2 F4'
_symmetry_space_group_name_H-M 'P 42/m m c'
_symmetry_Int_Tables_number 131
_symmetry_space_group_name_Hall '-P 4c 2'
_cell_length_a 3.8024
_cell_length_b 3.8024
_cell_length_c 7.8893
_cell_angle_alpha 90.00
_cell_angle_beta 90.00
_cell_angle_gamma 90.00
loop_
_atom_site_label
_atom_site_fract_x
_atom_site_fract_y
_atom_site_fract_z
Ti1 0.0000 0.0000 0.0000
O1 0.0000 0.5000 0.0000
F1 0.0000 0.0000 0.2500
F2 0.0000 0.5000 0.5000
```

Peak list (6 most intense, 10° ≤ 2θ ≤ 90°, low angle first)
| 2θ/deg | intensity | hkl |
| --- | --- | --- |
| 22.5 | 51 | 0 0 2 |
| 23.4 | 100 | 1 0 0 |
| 46.0 | 16 | 0 0 4 |
| 47.8 | 28 | 2 0 0 |
| 52.2 | 18 | 1 0 4 |
| 53.9 | 16 | 2 1 0 |